(1)
# ScAg4Sn
Calculated X-ray diffraction stick pattern, Cu Kα X-rays. Input: a crystal structure in Alexandria, relaxed with PBE.
Kinematic intensities with the Lorentz-polarization factor, no thermal factor.

Principal peaks in the range 15 to 90 degrees two-theta, most intense first:
2θ (°), d (Å), Rel. int.
37.3, 2.408, 100
37.2, 2.420, 81
67.2, 1.392, 27
53.7, 1.707, 27
75.2, 1.264, 24
48.7, 1.871, 19

Lattice parameters (Å, degrees): 4.8155 4.8155 5.9417 90.00 90.00 120.00
Positions (direct):
Sc (0.0000, 0.0000, 0.0000)
Ag (0.3333, 0.6667, 0.2427)
Ag (0.3333, 0.6667, 0.7573)
Ag (0.6667, 0.3333, 0.2427)
Ag (0.6667, 0.3333, 0.7573)
Sn (0.0000, 0.0000, 0.5000)

(2)
# Sc3Ag2Sn
Calculated X-ray diffraction stick pattern, Cu Kα X-rays. Input: a crystal structure in Alexandria, relaxed with PBE.
Kinematic intensities with the Lorentz-polarization factor, no thermal factor.

Principal peaks in the range 15 to 90 degrees two-theta, most intense first:
2θ (°), d (Å), Rel. int.
36.4, 2.465, 100
65.6, 1.423, 20
36.7, 2.450, 20
25.6, 3.475, 19
52.7, 1.738, 13
65.9, 1.417, 13

Lattice parameters (Å, degrees): 4.8991 14.7926 3.4965 90.00 90.00 90.00
Positions (direct):
Sc (0.0000, 0.0000, 0.0000)
Sc (0.0000, 0.3291, 0.0000)
Sc (0.0000, 0.6709, 0.0000)
Sc (0.5000, 0.1709, 0.0000)
Sc (0.5000, 0.5000, 0.0000)
Sc (0.5000, 0.8291, 0.0000)
Ag (0.0000, 0.1694, 0.5000)
Ag (0.0000, 0.8306, 0.5000)
Ag (0.5000, 0.3306, 0.5000)
Ag (0.5000, 0.6694, 0.5000)
Sn (0.0000, 0.5000, 0.5000)
Sn (0.5000, 0.0000, 0.5000)

(3)
# ScAgSnTe3
Calculated X-ray diffraction stick pattern, Cu Kα X-rays. Input: a crystal structure in Alexandria, relaxed with PBE.
Kinematic intensities with the Lorentz-polarization factor, no thermal factor.

Principal peaks in the range 15 to 90 degrees two-theta, most intense first:
2θ (°), d (Å), Rel. int.
30.2, 2.962, 100
29.9, 2.988, 43
42.5, 2.125, 40
35.5, 2.530, 38
28.5, 3.136, 38
28.3, 3.148, 36

Lattice parameters (Å, degrees): 8.5473 4.2507 9.7718 90.00 104.85 90.00
Positions (direct):
Sc (0.1818, 0.2500, 0.1751)
Sc (0.8182, 0.7500, 0.8249)
Ag (0.4145, 0.7500, 0.4122)
Ag (0.5855, 0.2500, 0.5878)
Sn (0.2973, 0.7500, 0.7502)
Sn (0.7027, 0.2500, 0.2498)
Te (0.0683, 0.2500, 0.8582)
Te (0.2230, 0.2500, 0.4833)
Te (0.4040, 0.7500, 0.1248)
Te (0.5960, 0.2500, 0.8752)
Te (0.7770, 0.7500, 0.5167)
Te (0.9317, 0.7500, 0.1418)

(4)
# ZrScAgSn
Calculated X-ray diffraction stick pattern, Cu Kα X-rays. Input: a crystal structure in Alexandria, relaxed with PBE.
Kinematic intensities with the Lorentz-polarization factor, no thermal factor.

Principal peaks in the range 15 to 90 degrees two-theta, most intense first:
2θ (°), d (Å), Rel. int.
36.4, 2.467, 100
65.5, 1.424, 34
52.5, 1.745, 17
88.6, 1.103, 16
77.4, 1.234, 11
25.5, 3.489, 8

Lattice parameters (Å, degrees): 6.9780 6.9780 6.9780 90.00 90.00 90.00
Positions (direct):
Zr (0.0000, 0.0000, 0.0000)
Zr (0.0000, 0.5000, 0.5000)
Zr (0.5000, 0.0000, 0.5000)
Zr (0.5000, 0.5000, 0.0000)
Sc (0.0000, 0.0000, 0.5000)
Sc (0.0000, 0.5000, 0.0000)
Sc (0.5000, 0.0000, 0.0000)
Sc (0.5000, 0.5000, 0.5000)
Ag (0.2500, 0.2500, 0.7500)
Ag (0.2500, 0.7500, 0.2500)
Ag (0.7500, 0.2500, 0.2500)
Ag (0.7500, 0.7500, 0.7500)
Sn (0.2500, 0.2500, 0.2500)
Sn (0.2500, 0.7500, 0.7500)
Sn (0.7500, 0.2500, 0.7500)
Sn (0.7500, 0.7500, 0.2500)

(5)
# TbScAg4
Calculated X-ray diffraction stick pattern, Cu Kα X-rays. Input: a crystal structure in Alexandria, relaxed with PBE.
Kinematic intensities with the Lorentz-polarization factor, no thermal factor.

Principal peaks in the range 15 to 90 degrees two-theta, most intense first:
2θ (°), d (Å), Rel. int.
38.4, 2.344, 100
34.5, 2.596, 34
34.7, 2.588, 33
64.5, 1.444, 20
71.9, 1.314, 15
49.6, 1.837, 12

Lattice parameters (Å, degrees): 5.1930 9.1441 5.1758 90.00 90.26 90.00
Positions (direct):
Tb (0.0000, 0.0000, 0.0000)
Tb (0.5000, 0.5000, 0.0000)
Sc (0.0000, 0.5000, 0.5000)
Sc (0.5000, 0.0000, 0.5000)
Ag (0.0000, 0.1721, 0.5000)
Ag (0.0000, 0.3348, 0.0000)
Ag (0.0000, 0.6652, 0.0000)
Ag (0.0000, 0.8279, 0.5000)
Ag (0.5000, 0.1652, 0.0000)
Ag (0.5000, 0.3279, 0.5000)
Ag (0.5000, 0.6721, 0.5000)
Ag (0.5000, 0.8348, 0.0000)

(6)
# Tb4ScAg3
Calculated X-ray diffraction stick pattern, Cu Kα X-rays. Input: a crystal structure in Alexandria, relaxed with PBE.
Kinematic intensities with the Lorentz-polarization factor, no thermal factor.

Principal peaks in the range 15 to 90 degrees two-theta, most intense first:
2θ (°), d (Å), Rel. int.
34.5, 2.600, 100
34.2, 2.619, 26
33.9, 2.644, 26
61.5, 1.509, 18
48.9, 1.861, 18
61.0, 1.518, 17

Lattice parameters (Å, degrees): 3.6340 5.2385 10.5779 90.00 90.00 90.00
Positions (direct):
Tb (0.0000, 0.0000, 0.0000)
Tb (0.0000, 0.0000, 0.5000)
Tb (0.0000, 0.5000, 0.2397)
Tb (0.0000, 0.5000, 0.7603)
Sc (0.5000, 0.5000, 0.5000)
Ag (0.5000, 0.0000, 0.2591)
Ag (0.5000, 0.0000, 0.7409)
Ag (0.5000, 0.5000, 0.0000)

(7)
# TbSc2Tl2Ag2
Calculated X-ray diffraction stick pattern, Cu Kα X-rays. Input: a crystal structure in Alexandria, relaxed with PBE.
Kinematic intensities with the Lorentz-polarization factor, no thermal factor.

Principal peaks in the range 15 to 90 degrees two-theta, most intense first:
2θ (°), d (Å), Rel. int.
37.7, 2.383, 100
33.1, 2.706, 81
25.8, 3.448, 76
51.1, 1.789, 23
65.2, 1.431, 22
45.4, 1.996, 21

Lattice parameters (Å, degrees): 8.8023 8.8023 8.8023 31.42 31.42 31.42
Positions (direct):
Tb (0.0000, 0.0000, 0.0000)
Sc (0.1359, 0.1359, 0.1359)
Sc (0.8641, 0.8641, 0.8641)
Tl (0.2633, 0.2633, 0.2633)
Tl (0.7367, 0.7367, 0.7367)
Ag (0.4407, 0.4407, 0.4407)
Ag (0.5593, 0.5593, 0.5593)

(8)
# TbTmScAg
Calculated X-ray diffraction stick pattern, Cu Kα X-rays. Input: a crystal structure in Alexandria, relaxed with PBE.
Kinematic intensities with the Lorentz-polarization factor, no thermal factor.

Principal peaks in the range 15 to 90 degrees two-theta, most intense first:
2θ (°), d (Å), Rel. int.
33.2, 2.698, 100
36.4, 2.471, 41
63.4, 1.467, 30
57.2, 1.610, 17
52.4, 1.747, 14
25.5, 3.494, 12

Lattice parameters (Å, degrees): 3.4945 3.4945 8.4900 90.00 90.00 90.00
Positions (direct):
Tb (0.0000, 0.0000, 0.0000)
Tm (0.0000, 0.0000, 0.5431)
Sc (0.5000, 0.5000, 0.2740)
Ag (0.5000, 0.5000, 0.7625)